Record 1
This entry pairs a crystal structure of Na5AgGe2S7 with its calculated X-ray diffraction stick pattern. Radiation: Cu Kα (λ = 1.5418 Å). Structure: a crystal structure in OQMD, relaxed with PBE.

Atomic structure:
```
data_Na5AgGe2S7
_space_group_name_H-M_alt 'P 1'
_space_group_IT_number 1
_space_group_name_Hall 'P 1'
_cell_length_a 6.903
_cell_length_b 6.903
_cell_length_c 14.906
_cell_angle_alpha 99.12
_cell_angle_beta 99.12
_cell_angle_gamma 96.63
loop_
_atom_site_label
_atom_site_fract_x
_atom_site_fract_y
_atom_site_fract_z
Na1 0.000 0.000 0.000
Na2 0.000 0.000 0.500
Na3 0.017 0.463 0.360
Na4 0.236 0.524 0.919
Na5 0.463 0.017 0.860
Na6 0.476 0.764 0.581
Na7 0.524 0.236 0.419
Na8 0.537 0.983 0.140
Na9 0.764 0.476 0.081
Na10 0.983 0.537 0.640
Ag1 0.085 0.915 0.250
Ag2 0.915 0.085 0.750
Ge1 0.263 0.419 0.140
Ge2 0.419 0.263 0.640
Ge3 0.581 0.737 0.360
Ge4 0.737 0.581 0.860
S1 0.015 0.243 0.184
S2 0.176 0.703 0.108
S3 0.238 0.371 0.526
S4 0.243 0.015 0.684
S5 0.297 0.824 0.392
S6 0.371 0.238 0.026
S7 0.456 0.544 0.750
S8 0.544 0.456 0.250
S9 0.629 0.762 0.974
S10 0.703 0.176 0.608
S11 0.757 0.985 0.316
S12 0.762 0.629 0.474
S13 0.824 0.297 0.892
S14 0.985 0.757 0.816
```

Largest 10 diffraction maxima, low angle first, 15 to 90 degrees two-theta:
2θ/deg  I (rel.)
19.54  100.0
20.76  59.2
28.23  45.3
30.05  31.2
31.32  46.7
32.16  76.2
35.55  67.3
46.46  30.8
46.87  35.4
47.62  32.3


Record 2
This entry pairs a crystal structure of NaAg3GeS4 with its calculated X-ray diffraction stick pattern. Radiation: Cu Kα (λ = 1.5418 Å). Structure: a crystal structure in OQMD, relaxed with PBE.

Atomic structure:
```
data_NaAg3GeS4
_space_group_name_H-M_alt 'P 1'
_space_group_IT_number 1
_space_group_name_Hall 'P 1'
_cell_length_a 6.427
_cell_length_b 7.409
_cell_length_c 10.398
_cell_angle_alpha 90.00
_cell_angle_beta 107.91
_cell_angle_gamma 90.00
loop_
_atom_site_label
_atom_site_fract_x
_atom_site_fract_y
_atom_site_fract_z
Na1 0.116 0.250 0.126
Na2 0.884 0.750 0.874
Ag1 0.239 0.047 0.548
Ag2 0.239 0.453 0.548
Ag3 0.345 0.250 0.810
Ag4 0.655 0.750 0.190
Ag5 0.761 0.547 0.452
Ag6 0.761 0.953 0.452
Ge1 0.174 0.750 0.281
Ge2 0.826 0.250 0.719
S1 0.036 0.005 0.721
S2 0.036 0.495 0.721
S3 0.262 0.750 0.093
S4 0.446 0.750 0.482
S5 0.554 0.250 0.518
S6 0.738 0.250 0.907
S7 0.964 0.505 0.279
S8 0.964 0.995 0.279
```

Largest 10 diffraction maxima, low angle first, 15 to 90 degrees two-theta:
2θ/deg  I (rel.)
25.68  53.1
27.76  30.7
28.17  23.6
29.12  30.9
29.21  23.8
30.14  25.9
34.67  48.3
36.03  36.7
38.18  39.8
41.45  100.0


Record 3
This entry pairs a crystal structure of NaAgGeTeSe2 with its calculated X-ray diffraction stick pattern. Radiation: Cu Kα (λ = 1.5418 Å). Structure: a crystal structure in OQMD, relaxed with PBE.

Atomic structure:
```
data_NaAgGeTeSe2
_space_group_name_H-M_alt 'P 1'
_space_group_IT_number 1
_space_group_name_Hall 'P 1'
_cell_length_a 7.580
_cell_length_b 7.580
_cell_length_c 11.483
_cell_angle_alpha 90.00
_cell_angle_beta 90.00
_cell_angle_gamma 152.32
loop_
_atom_site_label
_atom_site_fract_x
_atom_site_fract_y
_atom_site_fract_z
Na1 0.238 0.762 0.750
Na2 0.762 0.238 0.250
Ag1 0.430 0.570 0.250
Ag2 0.570 0.430 0.750
Ge1 0.000 0.000 0.000
Ge2 0.000 0.000 0.500
Te1 0.082 0.918 0.250
Te2 0.918 0.082 0.750
Se1 0.374 0.626 0.039
Se2 0.374 0.626 0.461
Se3 0.626 0.374 0.539
Se4 0.626 0.374 0.961
```

Largest 10 diffraction maxima, low angle first, 15 to 90 degrees two-theta:
2θ/deg  I (rel.)
26.48  24.6
31.15  58.5
31.65  100.0
34.49  41.9
38.82  23.5
39.96  34.4
42.57  21.9
50.32  20.2
50.59  42.0
52.21  20.3


Record 4
This entry pairs a crystal structure of ZrNbAg2Ge4 with its calculated X-ray diffraction stick pattern. Radiation: Cu Kα (λ = 1.5418 Å). Structure: a crystal structure in OQMD, relaxed with PBE.

Atomic structure:
```
data_ZrNbAg2Ge4
_space_group_name_H-M_alt 'P 1'
_space_group_IT_number 1
_space_group_name_Hall 'P 1'
_cell_length_a 3.836
_cell_length_b 3.836
_cell_length_c 9.637
_cell_angle_alpha 90.00
_cell_angle_beta 90.00
_cell_angle_gamma 90.00
loop_
_atom_site_label
_atom_site_fract_x
_atom_site_fract_y
_atom_site_fract_z
Zr1 0.000 0.000 0.000
Nb1 0.500 0.500 0.562
Ag1 0.000 0.500 0.283
Ag2 0.500 0.000 0.283
Ge1 0.000 0.000 0.489
Ge2 0.000 0.500 0.773
Ge3 0.500 0.000 0.773
Ge4 0.500 0.500 0.075
```

Largest 10 diffraction maxima, low angle first, 15 to 90 degrees two-theta:
2θ/deg  I (rel.)
29.77  9.5
37.32  19.1
38.07  100.0
44.40  9.8
47.40  29.2
61.83  16.7
67.81  7.1
69.29  9.0
81.44  7.5
81.90  20.4


Record 5
This entry pairs a crystal structure of NdAgGeTeS2 with its calculated X-ray diffraction stick pattern. Radiation: Cu Kα (λ = 1.5418 Å). Structure: a crystal structure in OQMD, relaxed with PBE.

Atomic structure:
```
data_NdAgGeTeS2
_space_group_name_H-M_alt 'P 1'
_space_group_IT_number 1
_space_group_name_Hall 'P 1'
_cell_length_a 7.035
_cell_length_b 7.035
_cell_length_c 11.339
_cell_angle_alpha 90.00
_cell_angle_beta 90.00
_cell_angle_gamma 146.71
loop_
_atom_site_label
_atom_site_fract_x
_atom_site_fract_y
_atom_site_fract_z
Nd1 0.000 0.000 0.000
Nd2 0.000 0.000 0.500
Ag1 0.486 0.514 0.750
Ag2 0.514 0.486 0.250
Ge1 0.203 0.797 0.250
Ge2 0.797 0.203 0.750
Te1 0.131 0.869 0.750
Te2 0.869 0.131 0.250
S1 0.367 0.633 0.579
S2 0.367 0.633 0.921
S3 0.633 0.367 0.079
S4 0.633 0.367 0.421
```

Largest 10 diffraction maxima, low angle first, 15 to 90 degrees two-theta:
2θ/deg  I (rel.)
15.63  14.3
27.96  13.5
30.83  23.1
31.56  28.9
33.80  100.0
43.42  17.1
44.98  15.7
47.06  13.1
57.64  14.2
67.16  12.2


Record 6
This entry pairs a crystal structure of NdSmAg2Ge2 with its calculated X-ray diffraction stick pattern. Radiation: Cu Kα (λ = 1.5418 Å). Structure: a crystal structure in OQMD, relaxed with PBE.

Atomic structure:
```
data_NdSmAg2Ge2
_space_group_name_H-M_alt 'P 1'
_space_group_IT_number 1
_space_group_name_Hall 'P 1'
_cell_length_a 4.556
_cell_length_b 4.556
_cell_length_c 7.598
_cell_angle_alpha 90.00
_cell_angle_beta 90.00
_cell_angle_gamma 120.00
loop_
_atom_site_label
_atom_site_fract_x
_atom_site_fract_y
_atom_site_fract_z
Nd1 0.000 0.000 0.000
Sm1 0.000 0.000 0.501
Ag1 0.333 0.667 0.232
Ag2 0.667 0.333 0.722
Ge1 0.333 0.667 0.786
Ge2 0.667 0.333 0.292
```

Largest 10 diffraction maxima, low angle first, 15 to 90 degrees two-theta:
2θ/deg  I (rel.)
25.44  7.0
32.72  100.0
39.56  60.7
42.41  7.8
47.89  8.2
52.25  26.2
63.80  20.5
67.47  24.0
71.77  10.1
85.19  6.5


Record 7
This entry pairs a crystal structure of Ni3AgGe5 with its calculated X-ray diffraction stick pattern. Radiation: Cu Kα (λ = 1.5418 Å). Structure: a crystal structure in OQMD, relaxed with PBE.

Atomic structure:
```
data_Ni3AgGe5
_space_group_name_H-M_alt 'P 1'
_space_group_IT_number 1
_space_group_name_Hall 'P 1'
_cell_length_a 4.888
_cell_length_b 4.888
_cell_length_c 6.975
_cell_angle_alpha 90.00
_cell_angle_beta 90.00
_cell_angle_gamma 120.00
loop_
_atom_site_label
_atom_site_fract_x
_atom_site_fract_y
_atom_site_fract_z
Ni1 0.000 0.500 0.000
Ni2 0.500 0.000 0.000
Ni3 0.500 0.500 0.000
Ag1 0.000 0.000 0.500
Ge1 0.000 0.000 0.000
Ge2 0.333 0.667 0.301
Ge3 0.333 0.667 0.699
Ge4 0.667 0.333 0.301
Ge5 0.667 0.333 0.699
```

Largest 10 diffraction maxima, low angle first, 15 to 90 degrees two-theta:
2θ/deg  I (rel.)
33.28  78.1
36.77  90.5
38.73  24.0
39.05  33.2
42.72  17.5
44.45  29.7
44.75  24.3
50.43  100.0
64.03  22.7
78.23  24.1


Record 8
This entry pairs a crystal structure of Ag3GeO5 with its calculated X-ray diffraction stick pattern. Radiation: Cu Kα (λ = 1.5418 Å). Structure: a crystal structure in OQMD, relaxed with PBE.

Atomic structure:
```
data_Ag3GeO5
_space_group_name_H-M_alt 'P 1'
_space_group_IT_number 1
_space_group_name_Hall 'P 1'
_cell_length_a 5.448
_cell_length_b 8.283
_cell_length_c 5.598
_cell_angle_alpha 90.00
_cell_angle_beta 97.04
_cell_angle_gamma 90.00
loop_
_atom_site_label
_atom_site_fract_x
_atom_site_fract_y
_atom_site_fract_z
Ag1 0.011 0.000 0.480
Ag2 0.055 0.271 0.094
Ag3 0.425 0.704 0.414
Ag4 0.575 0.204 0.586
Ag5 0.945 0.771 0.906
Ag6 0.989 0.500 0.520
Ge1 0.463 0.000 0.051
Ge2 0.537 0.500 0.949
O1 0.098 0.752 0.559
O2 0.218 0.461 0.880
O3 0.297 0.818 0.095
O4 0.323 0.069 0.764
O5 0.373 0.146 0.258
O6 0.627 0.646 0.742
O7 0.677 0.569 0.236
O8 0.703 0.318 0.905
O9 0.782 0.961 0.120
O10 0.902 0.252 0.441
```

Largest 10 diffraction maxima, low angle first, 15 to 90 degrees two-theta:
2θ/deg  I (rel.)
26.65  32.1
30.55  100.0
32.23  18.6
32.67  38.2
33.14  24.1
34.04  15.2
43.75  29.7
47.01  9.9
51.37  10.0
56.27  10.4